Starting from a DFT-relaxed cell (PBE, Alexandria), the XRD peak list of W5Se3 was computed for a wavelength of 1.5418 Å.
Peak positions follow from Bragg's law for the DFT cell and can differ from measured ones.

Principal peaks in the range 2θ from 5° to 70°, by angle:
Position (°2θ)  d (Å)  intensity
17.27  5.136  6.7
27.66  3.226  7.7
28.51  3.131  3.0
33.18  2.700  1.9
38.83  2.319  22.8
40.15  2.246  100.0
48.90  1.862  4.8
57.11  1.613  14.8
57.37  1.606  1.7
59.00  1.565  5.6

Crystal structure
a = 5.473 Å, b = 5.473 Å, c = 4.638 Å
α = 90.00°, β = 90.00°, γ = 110.21°
Atoms (fractional coordinates):
W1 0.000 0.000 0.000
W2 0.000 0.500 0.000
W3 0.220 0.220 0.500
W4 0.500 0.000 0.000
W5 0.780 0.780 0.500
Se1 0.257 0.743 0.500
Se2 0.500 0.500 0.000
Se3 0.743 0.257 0.500